Starting from a PBE-relaxed structure, the powder X-ray diffraction pattern of La3Ge3Br2 was calculated for Cu Kα, 1.54184 Å.
Neutral-atom scattering factors, no anomalous dispersion.

Most intense lines, 10° ≤ 2θ ≤ 90°, by angle:
Position (°2θ)  d (Å)  I/Imax
24.43  3.643  25.8
24.83  3.586  22.7
30.95  2.889  26.6
31.77  2.817  35.1
32.83  2.728  100.0
33.40  2.683  79.2
33.92  2.643  84.0
40.56  2.224  29.2
41.17  2.193  50.1
43.13  2.097  24.6

Unit cell a=9.6889 b=9.6889 c=11.0415 alpha=97.95 beta=97.95 gamma=26.16
Positions (direct):
La 0.0304 0.0304 0.3310
La 0.1122 0.1122 0.9883
La 0.1776 0.1776 0.6468
La 0.8224 0.8224 0.3532
La 0.8878 0.8878 0.0117
La 0.9696 0.9696 0.6690
Ge 0.4069 0.4069 0.2198
Ge 0.4319 0.4319 0.4557
Ge 0.4767 0.4767 0.8842
Ge 0.5233 0.5233 0.1158
Ge 0.5681 0.5681 0.5443
Ge 0.5931 0.5931 0.7802
Br 0.2004 0.2004 0.3701
Br 0.2753 0.2753 0.8912
Br 0.7247 0.7247 0.1088
Br 0.7996 0.7996 0.6299

Starting from a PBE-relaxed structure, the powder X-ray diffraction pattern of Ge19P4Br4 was calculated for Cu Kα, 1.54184 Å.
Neutral-atom scattering factors, no anomalous dispersion.

Most intense lines, 10° ≤ 2θ ≤ 90°, by angle:
Position (°2θ)  d (Å)  I/Imax
29.26  3.052  31.7
30.48  2.933  44.4
31.66  2.826  100.0
33.91  2.643  15.1
34.99  2.564  23.3
50.32  1.813  45.8
51.11  1.787  20.0
51.89  1.762  22.8
53.42  1.715  45.2
72.65  1.301  9.8

Unit cell a=10.5733 b=10.5733 c=10.5733 alpha=90.00 beta=90.00 gamma=90.00
Positions (direct):
Ge 0.0000 0.2500 0.5000
Ge 0.0000 0.7500 0.5000
Ge 0.0023 0.1185 0.6932
Ge 0.0023 0.8815 0.3068
Ge 0.1185 0.3068 0.9977
Ge 0.1185 0.6932 0.0023
Ge 0.1848 0.1848 0.1848
Ge 0.1848 0.8152 0.8152
Ge 0.1932 0.3815 0.4977
Ge 0.1932 0.6185 0.5023
Ge 0.2500 0.5000 0.0000
Ge 0.3068 0.0023 0.8815
Ge 0.3068 0.9977 0.1185
Ge 0.3152 0.3152 0.6848
Ge 0.3152 0.6848 0.3152
Ge 0.3815 0.4977 0.1932
Ge 0.3815 0.5023 0.8068
Ge 0.4977 0.1932 0.3815
Ge 0.4977 0.8068 0.6185
Ge 0.5000 0.0000 0.2500
Ge 0.5000 0.0000 0.7500
Ge 0.5023 0.1932 0.6185
Ge 0.5023 0.8068 0.3815
Ge 0.6185 0.4977 0.8068
Ge 0.6185 0.5023 0.1932
Ge 0.6848 0.3152 0.3152
Ge 0.6848 0.6848 0.6848
Ge 0.6932 0.0023 0.1185
Ge 0.6932 0.9977 0.8815
Ge 0.7500 0.5000 0.0000
Ge 0.8068 0.3815 0.5023
Ge 0.8068 0.6185 0.4977
Ge 0.8152 0.1848 0.8152
Ge 0.8152 0.8152 0.1848
Ge 0.8815 0.3068 0.0023
Ge 0.8815 0.6932 0.9977
Ge 0.9977 0.1185 0.3068
Ge 0.9977 0.8815 0.6932
P 0.1845 0.1845 0.8155
P 0.1845 0.8155 0.1845
P 0.3155 0.3155 0.3155
P 0.3155 0.6845 0.6845
P 0.6845 0.3155 0.6845
P 0.6845 0.6845 0.3155
P 0.8155 0.1845 0.1845
P 0.8155 0.8155 0.8155
Br 0.0000 0.0000 0.0000
Br 0.0000 0.5000 0.2500
Br 0.0000 0.5000 0.7500
Br 0.2500 0.0000 0.5000
Br 0.5000 0.2500 0.0000
Br 0.5000 0.5000 0.5000
Br 0.5000 0.7500 0.0000
Br 0.7500 0.0000 0.5000

What did the first record say?
Starting from a PBE-relaxed structure, the powder X-ray diffraction pattern of La3Ge3Br2 was calculated for Cu Kα, 1.54184 Å.
Neutral-atom scattering factors, no anomalous dispersion.

Most intense lines, 10° ≤ 2θ ≤ 90°, by angle:
Position (°2θ)  d (Å)  I/Imax
24.43  3.643  25.8
24.83  3.586  22.7
30.95  2.889  26.6
31.77  2.817  35.1
32.83  2.728  100.0
33.40  2.683  79.2
33.92  2.643  84.0
40.56  2.224  29.2
41.17  2.193  50.1
43.13  2.097  24.6

Unit cell a=9.6889 b=9.6889 c=11.0415 alpha=97.95 beta=97.95 gamma=26.16
Positions (direct):
La 0.0304 0.0304 0.3310
La 0.1122 0.1122 0.9883
La 0.1776 0.1776 0.6468
La 0.8224 0.8224 0.3532
La 0.8878 0.8878 0.0117
La 0.9696 0.9696 0.6690
Ge 0.4069 0.4069 0.2198
Ge 0.4319 0.4319 0.4557
Ge 0.4767 0.4767 0.8842
Ge 0.5233 0.5233 0.1158
Ge 0.5681 0.5681 0.5443
Ge 0.5931 0.5931 0.7802
Br 0.2004 0.2004 0.3701
Br 0.2753 0.2753 0.8912
Br 0.7247 0.7247 0.1088
Br 0.7996 0.7996 0.6299